# Te3Pt2
Calculated PXRD pattern, Cu Ka. Input: the GGA-PBE geometry in the Materials Project.
Peak positions follow from Bragg's law for the DFT cell and can differ from measured ones.

Principal peaks in the range 10° ≤ 2θ ≤ 90°, low angle first:
2theta  I_rel
15.16  28
30.58  100
41.51  23
42.94  22
44.63  42
47.40  10
55.07  20
57.14  16
73.48  16
86.65  12

Lattice parameters (Å, degrees): 4.0608 4.0608 52.6054 90.00 90.00 120.00
Space group R-3m (No. 166, hexagonal axes)
Asymmetric unit:
Te 0.0000 0.0000 0.0370 (multiplicity 6)
Te 0.0000 0.0000 0.1426 (multiplicity 6)
Te 0.0000 0.0000 0.2429 (multiplicity 6)
Pt 0.0000 0.0000 0.3474 (multiplicity 6)
Pt 0.0000 0.0000 0.4501 (multiplicity 6)